Record 1
# TbY2HoEr
Theoretical powder XRD pattern, Cu Kα, 1.54184 Å. Input: a DFT-relaxed cell (GGA-PBE, Alexandria).

Crystal structure
a = 6.362 Å, b = 16.575 Å, c = 6.366 Å
α = 90.00°, β = 90.00°, γ = 90.00°
Space group Cmcm (No. 63)
Inequivalent atoms, fractional coordinates:
Tb (0.000, 0.158, 0.250) x4
Y (0.250, 0.000, 0.000) x8
Ho (0.000, 0.343, 0.250) x4
Er (0.000, 0.249, 0.750) x4

Largest 8 diffraction maxima, by intensity, 2θ = 10–90°:
d (Å)  I (rel.)  (hkl)
2.971  100  2 2 0
2.669  75  1 5 1
2.250  45  2 0 2
1.720  41  3 5 1
3.489  32  1 3 1
3.182  24  2 0 0
2.095  21  1 7 1
1.470  21  2 10 0

Record 2
# Ca2SiSe4
Theoretical powder XRD pattern, Cu Kα, 1.54184 Å. Input: a DFT-relaxed cell (GGA-PBE, Alexandria).

Crystal structure
a = 10.008 Å, b = 10.368 Å, c = 7.180 Å
α = 90.00°, β = 90.00°, γ = 90.00°
Space group Ama2 (No. 40)
Inequivalent atoms, fractional coordinates:
Ca (0.000, 0.000, 0.000) x4
Ca (0.250, 0.192, 0.562) x4
Si (0.250, 0.268, 0.045) x4
Se (0.063, 0.272, 0.860) x8
Se (0.250, 0.073, 0.201) x4
Se (0.250, 0.429, 0.267) x4

Largest 8 diffraction maxima, by intensity, 2θ = 10–90°:
d (Å)  I (rel.)  (hkl)
2.974  100  1 3 1
2.904  95  3 1 1
2.542  91  2 2 2
2.917  56  2 0 2
1.695  48  0 2 4
3.597  35  0 0 2
1.684  33  5 3 1
2.274  30  1 1 3